The following is a theoretical powder diffraction line list of CaCe3V4O16. It was derived from DFT lattice parameters and positions (GGA+U), using Cu Ka.
Peak positions follow from Bragg's law for the DFT cell and can differ from measured ones.

Structure:
abc: 7.348 7.348 6.480
angles: 90.00 90.00 90.00
Space group P-4m2 (No. 115)
One atom of each set of equivalent atoms:
Ca  0.000  0.000  0.000 x1
Ce  0.000  0.500  0.750 x2
Ce  0.500  0.500  0.500 x1
V  0.000  0.000  0.500 x1
V  0.000  0.500  0.249 x2
V  0.500  0.500  0.000 x1
O  0.000  0.186  0.668 x4
O  0.000  0.322  0.077 x4
O  0.184  0.500  0.424 x4
O  0.318  0.500  0.827 x4

Most intense lines, 2θ from 15° to 90°, sorted by position:
18.25°, I 240, hkl 1 0 1; 24.23°, I 1000, hkl 2 0 0; 32.57°, I 655, hkl 1 1 2; 34.53°, I 182, hkl 2 2 0; 39.33°, I 130, hkl 3 0 1; 48.19°, I 574, hkl 3 1 2; 49.63°, I 158, hkl 4 0 0; 60.63°, I 174, hkl 3 3 2